(1)
HoCdPd: calculated X-ray powder pattern (Cu Ka), based on DFT lattice parameters and positions (PBE).
Peak positions follow from Bragg's law for the DFT cell and can differ from measured ones.

Structure:
a b c (Å): 13.3460 3.7969 7.7618
angles (deg): 90.00 90.00 90.00
Fractional coordinates of all 18 atoms:
Ho  0.0474  0.0000  0.2272
Ho  0.2500  0.0000  0.8252
Ho  0.4526  0.0000  0.2272
Ho  0.5474  0.0000  0.7728
Ho  0.7500  0.0000  0.1748
Ho  0.9526  0.0000  0.7728
Cd  0.1085  0.5000  0.5635
Cd  0.2500  0.5000  0.1854
Cd  0.3915  0.5000  0.5635
Cd  0.6085  0.5000  0.4365
Cd  0.7500  0.5000  0.8146
Cd  0.8915  0.5000  0.4365
Pd  0.0968  0.5000  0.9347
Pd  0.2500  0.0000  0.4469
Pd  0.4032  0.5000  0.9347
Pd  0.5968  0.5000  0.0653
Pd  0.7500  0.0000  0.5531
Pd  0.9032  0.5000  0.0653

Largest 8 diffraction maxima, sorted by position, 2θ = 15–90°:
2theta	Rel. int.
33.07	1000
35.51	246
35.71	252
35.83	313
40.33	255
40.56	157
47.92	215
65.61	167


(2)
Ho2Cd3Pd8: calculated X-ray powder pattern (Cu Ka), based on DFT lattice parameters and positions (PBE).
Peak positions follow from Bragg's law for the DFT cell and can differ from measured ones.

Structure:
a b c (Å): 10.6437 10.6437 10.6437
angles (deg): 29.16 29.16 29.16
Fractional coordinates of all 13 atoms:
Ho  0.1324  0.1324  0.1324
Ho  0.8676  0.8676  0.8676
Cd  0.3127  0.3127  0.3127
Cd  0.5000  0.5000  0.5000
Cd  0.6873  0.6873  0.6873
Pd  0.2222  0.2222  0.2222
Pd  0.2275  0.2275  0.7229
Pd  0.2275  0.7229  0.2275
Pd  0.2770  0.7725  0.7725
Pd  0.7229  0.2275  0.2275
Pd  0.7725  0.2771  0.7725
Pd  0.7725  0.7725  0.2771
Pd  0.7778  0.7778  0.7778

Largest 8 diffraction maxima, sorted by position, 2θ = 15–90°:
2theta	Rel. int.
33.45	557
34.62	301
37.75	1000
39.27	646
41.64	406
43.01	332
62.64	443
70.27	326